1.
Starting from a structure optimized by DFT (GGA-PBE), the XRD peak list of Tb7Dy4Ho2 was simulated for Cu Kα (λ = 1.5418 Å).
No peak broadening, texture or thermal motion is included.

Atomic structure:
```
data_Tb7Dy4Ho2
_chemical_formula_sum 'Tb7 Dy4 Ho2'
_cell_length_a 6.0585
_cell_length_b 6.0585
_cell_length_c 13.1290
_cell_angle_alpha 90.00
_cell_angle_beta 90.00
_cell_angle_gamma 120.00
_space_group_name_H-M_alt 'P -3 1 m'
_space_group_IT_number 162
_space_group_name_Hall '-P 3 2'
loop_
_atom_site_label
_atom_site_type_symbol
_atom_site_fract_x
_atom_site_fract_y
_atom_site_fract_z
Tb1 Tb 0.0000 0.0000 0.0000
Tb2 Tb 0.0000 0.3612 0.2172
Dy1 Dy 0.0000 0.0000 0.3928
Dy2 Dy 0.3333 0.6667 0.5000
Ho1 Ho 0.3333 0.6667 0.0000
```

Peak list (8 most intense, 2θ = 10–80°, in order of rising 2θ)
27.17 deg, intensity 20, (0 0 4)
29.49 deg, intensity 16, (1 1 0)
30.28 deg, intensity 43, (1 1 1)
32.55 deg, intensity 100, (2 -1 2)
34.15 deg, intensity 17, (0 0 5)
36.06 deg, intensity 32, (1 1 3)
51.52 deg, intensity 18, (2 -1 6)
52.31 deg, intensity 29, (3 0 0)

2.
Starting from a structure optimized by DFT (GGA-PBE), the XRD peak list of KPtF was simulated for Cu Kα (λ = 1.5418 Å).
No peak broadening, texture or thermal motion is included.

Atomic structure:
```
data_KPtF
_chemical_formula_sum 'K4 Pt4 F4'
_cell_length_a 5.363
_cell_length_b 12.703
_cell_length_c 3.616
_cell_angle_alpha 90.00
_cell_angle_beta 90.00
_cell_angle_gamma 90.00
_space_group_name_H-M_alt 'C m c m'
_space_group_IT_number 63
_space_group_name_Hall '-C 2c 2'
loop_
_atom_site_label
_atom_site_type_symbol
_atom_site_fract_x
_atom_site_fract_y
_atom_site_fract_z
K1 K 0.000 0.152 0.250
Pt1 Pt 0.000 0.434 0.250
F1 F 0.000 0.313 0.750
```

Peak list (8 most intense, 2θ = 10–80°, in order of rising 2θ)
13.94 deg, intensity 34, (0 2 0)
17.95 deg, intensity 100, (1 1 0)
30.64 deg, intensity 19, (1 1 1)
33.42 deg, intensity 28, (2 0 0)
36.73 deg, intensity 55, (1 3 1)
37.70 deg, intensity 35, (0 4 1)
51.25 deg, intensity 29, (2 4 1)
61.91 deg, intensity 21, (2 0 2)

3.
Starting from a structure optimized by DFT (GGA-PBE), the XRD peak list of SrNiMo2 was simulated for Cu Kα (λ = 1.5418 Å).
No peak broadening, texture or thermal motion is included.

Atomic structure:
```
data_SrNiMo2
_chemical_formula_sum 'Sr1 Ni1 Mo2'
_cell_length_a 3.245
_cell_length_b 3.236
_cell_length_c 7.505
_cell_angle_alpha 90.00
_cell_angle_beta 93.18
_cell_angle_gamma 90.00
_space_group_name_H-M_alt 'P 1 m 1'
_space_group_IT_number 6
loop_
_space_group_symop_operation_xyz
'x,y,z'
'x,-y,z'
loop_
_atom_site_label
_atom_site_type_symbol
_atom_site_fract_x
_atom_site_fract_y
_atom_site_fract_z
Sr1 Sr 0.000 0.000 0.000
Ni1 Ni 0.536 0.500 0.297
Mo1 Mo 0.070 0.000 0.478
Mo2 Mo 0.495 0.500 0.657
```

Peak list (8 most intense, 2θ = 10–80°, in order of rising 2θ)
11.81 deg, intensity 56, (0 0 1)
35.61 deg, intensity 49, (1 0 -2)
36.70 deg, intensity 86, (0 1 2)
37.70 deg, intensity 34, (1 0 2)
39.35 deg, intensity 100, (1 1 0)
45.89 deg, intensity 17, (0 1 3)
56.81 deg, intensity 28, (2 0 0)
56.91 deg, intensity 17, (0 2 0)

4.
Starting from a structure optimized by DFT (GGA-PBE), the XRD peak list of Dy2Re3B4 was simulated for Cu Kα (λ = 1.5418 Å).
No peak broadening, texture or thermal motion is included.

Atomic structure:
```
data_Dy2Re3B4
_chemical_formula_sum 'Dy8 Re12 B16'
_cell_length_a 5.819
_cell_length_b 8.985
_cell_length_c 9.805
_cell_angle_alpha 90.00
_cell_angle_beta 90.00
_cell_angle_gamma 90.00
_space_group_name_H-M_alt 'F m m m'
_space_group_IT_number 69
_space_group_name_Hall '-F 2 2'
loop_
_atom_site_label
_atom_site_type_symbol
_atom_site_fract_x
_atom_site_fract_y
_atom_site_fract_z
Dy1 Dy 0.000 0.000 0.161
Re1 Re 0.000 0.000 0.500
Re2 Re 0.250 0.250 0.000
B1 B 0.000 0.215 0.334
```

Peak list (8 most intense, 2θ = 10–80°, in order of rising 2θ)
18.10 deg, intensity 62, (0 0 2)
26.92 deg, intensity 30, (0 2 2)
32.98 deg, intensity 92, (1 1 3)
36.80 deg, intensity 100, (2 2 0)
40.14 deg, intensity 44, (0 4 0)
41.30 deg, intensity 37, (2 2 2)
43.85 deg, intensity 47, (1 3 3)
69.17 deg, intensity 32, (2 2 6)

5.
Starting from a structure optimized by DFT (GGA-PBE), the XRD peak list of Y3Fe2Ru4 was simulated for Cu Kα (λ = 1.5418 Å).
No peak broadening, texture or thermal motion is included.

Atomic structure:
```
data_Y3Fe2Ru4
_chemical_formula_sum 'Y6 Fe4 Ru8'
_cell_length_a 5.210
_cell_length_b 5.240
_cell_length_c 13.126
_cell_angle_alpha 88.50
_cell_angle_beta 89.01
_cell_angle_gamma 61.51
_space_group_name_H-M_alt 'P -1'
_space_group_IT_number 2
loop_
_space_group_symop_operation_xyz
'x,y,z'
'-x,-y,-z'
loop_
_atom_site_label
_atom_site_type_symbol
_atom_site_fract_x
_atom_site_fract_y
_atom_site_fract_z
Y1 Y 0.002 0.499 0.375
Y2 Y 0.334 0.832 0.042
Y3 Y 0.338 0.831 0.291
Fe1 Fe 0.000 0.000 0.500
Fe2 Fe 0.161 0.668 0.833
Fe3 Fe 0.500 0.000 0.500
Ru1 Ru 0.000 0.500 0.000
Ru2 Ru 0.162 0.170 0.833
Ru3 Ru 0.323 0.839 0.663
Ru4 Ru 0.342 0.328 0.169
Ru5 Ru 0.500 0.500 0.500
```

Peak list (8 most intense, 2θ = 10–80°, in order of rising 2θ)
34.25 deg, intensity 42, (1 2 0)
39.35 deg, intensity 85, (1 1 5)
39.67 deg, intensity 100, (1 -1 3)
39.92 deg, intensity 70, (2 1 3)
40.62 deg, intensity 71, (1 2 -3)
41.29 deg, intensity 70, (0 2 2)
41.72 deg, intensity 33, (2 0 2)
42.92 deg, intensity 31, (2 2 -2)

6.
Starting from a structure optimized by DFT (GGA-PBE), the XRD peak list of Hf3Ta was simulated for Cu Kα (λ = 1.5418 Å).
No peak broadening, texture or thermal motion is included.

Atomic structure:
```
data_Hf3Ta
_chemical_formula_sum 'Hf6 Ta2'
_cell_length_a 4.382
_cell_length_b 4.382
_cell_length_c 8.887
_cell_angle_alpha 90.00
_cell_angle_beta 90.00
_cell_angle_gamma 90.00
_space_group_name_H-M_alt 'I 4/m m m'
_space_group_IT_number 139
_space_group_name_Hall '-I 4 2'
loop_
_atom_site_label
_atom_site_type_symbol
_atom_site_fract_x
_atom_site_fract_y
_atom_site_fract_z
Hf1 Hf 0.000 0.000 0.000
Hf2 Hf 0.000 0.500 0.250
Ta1 Ta 0.000 0.000 0.500
```

Peak list (8 most intense, 2θ = 10–80°, in order of rising 2θ)
35.31 deg, intensity 100, (1 1 2)
40.61 deg, intensity 17, (0 0 4)
41.20 deg, intensity 33, (2 0 0)
59.23 deg, intensity 23, (2 0 4)
59.68 deg, intensity 11, (2 2 0)
70.47 deg, intensity 14, (1 1 6)
71.29 deg, intensity 26, (3 1 2)
74.69 deg, intensity 12, (2 2 4)

7.
Starting from a structure optimized by DFT (GGA-PBE), the XRD peak list of La6Sm2TmMg was simulated for Cu Kα (λ = 1.5418 Å).
No peak broadening, texture or thermal motion is included.

Atomic structure:
```
data_La6Sm2TmMg
_chemical_formula_sum 'La24 Sm8 Tm4 Mg4'
_cell_length_a 10.642
_cell_length_b 13.882
_cell_length_c 9.451
_cell_angle_alpha 90.00
_cell_angle_beta 98.04
_cell_angle_gamma 90.00
_space_group_name_H-M_alt 'C 1 2/c 1'
_space_group_IT_number 15
loop_
_space_group_symop_operation_xyz
'x,y,z'
'-x,-y,-z'
'-x,y,-z+1/2'
'x,-y,z+1/2'
'x+1/2,y+1/2,z'
'-x+1/2,-y+1/2,-z'
'-x+1/2,y+1/2,-z+1/2'
'x+1/2,-y+1/2,z+1/2'
loop_
_atom_site_label
_atom_site_type_symbol
_atom_site_fract_x
_atom_site_fract_y
_atom_site_fract_z
La1 La 0.058 0.122 0.100
La2 La 0.086 0.335 0.917
La3 La 0.245 0.287 0.326
Sm1 Sm 0.231 0.467 0.591
Tm1 Tm 0.000 0.432 0.250
Mg1 Mg 0.000 0.095 0.750
```

Peak list (8 most intense, 2θ = 10–80°, in order of rising 2θ)
29.10 deg, intensity 73, (3 1 1)
29.22 deg, intensity 82, (1 3 2)
30.15 deg, intensity 61, (2 2 2)
30.29 deg, intensity 84, (3 1 -2)
30.85 deg, intensity 77, (2 4 0)
31.44 deg, intensity 100, (0 2 3)
31.61 deg, intensity 97, (2 4 -1)
34.44 deg, intensity 64, (1 5 -1)

Copy entry 2 word for word.
Starting from a structure optimized by DFT (GGA-PBE), the XRD peak list of KPtF was simulated for Cu Kα (λ = 1.5418 Å).
No peak broadening, texture or thermal motion is included.

Atomic structure:
```
data_KPtF
_chemical_formula_sum 'K4 Pt4 F4'
_cell_length_a 5.363
_cell_length_b 12.703
_cell_length_c 3.616
_cell_angle_alpha 90.00
_cell_angle_beta 90.00
_cell_angle_gamma 90.00
_space_group_name_H-M_alt 'C m c m'
_space_group_IT_number 63
_space_group_name_Hall '-C 2c 2'
loop_
_atom_site_label
_atom_site_type_symbol
_atom_site_fract_x
_atom_site_fract_y
_atom_site_fract_z
K1 K 0.000 0.152 0.250
Pt1 Pt 0.000 0.434 0.250
F1 F 0.000 0.313 0.750
```

Peak list (8 most intense, 2θ = 10–80°, in order of rising 2θ)
13.94 deg, intensity 34, (0 2 0)
17.95 deg, intensity 100, (1 1 0)
30.64 deg, intensity 19, (1 1 1)
33.42 deg, intensity 28, (2 0 0)
36.73 deg, intensity 55, (1 3 1)
37.70 deg, intensity 35, (0 4 1)
51.25 deg, intensity 29, (2 4 1)
61.91 deg, intensity 21, (2 0 2)

Please write out number 5 again, unchanged.
Starting from a structure optimized by DFT (GGA-PBE), the XRD peak list of Y3Fe2Ru4 was simulated for Cu Kα (λ = 1.5418 Å).
No peak broadening, texture or thermal motion is included.

Atomic structure:
```
data_Y3Fe2Ru4
_chemical_formula_sum 'Y6 Fe4 Ru8'
_cell_length_a 5.210
_cell_length_b 5.240
_cell_length_c 13.126
_cell_angle_alpha 88.50
_cell_angle_beta 89.01
_cell_angle_gamma 61.51
_space_group_name_H-M_alt 'P -1'
_space_group_IT_number 2
loop_
_space_group_symop_operation_xyz
'x,y,z'
'-x,-y,-z'
loop_
_atom_site_label
_atom_site_type_symbol
_atom_site_fract_x
_atom_site_fract_y
_atom_site_fract_z
Y1 Y 0.002 0.499 0.375
Y2 Y 0.334 0.832 0.042
Y3 Y 0.338 0.831 0.291
Fe1 Fe 0.000 0.000 0.500
Fe2 Fe 0.161 0.668 0.833
Fe3 Fe 0.500 0.000 0.500
Ru1 Ru 0.000 0.500 0.000
Ru2 Ru 0.162 0.170 0.833
Ru3 Ru 0.323 0.839 0.663
Ru4 Ru 0.342 0.328 0.169
Ru5 Ru 0.500 0.500 0.500
```

Peak list (8 most intense, 2θ = 10–80°, in order of rising 2θ)
34.25 deg, intensity 42, (1 2 0)
39.35 deg, intensity 85, (1 1 5)
39.67 deg, intensity 100, (1 -1 3)
39.92 deg, intensity 70, (2 1 3)
40.62 deg, intensity 71, (1 2 -3)
41.29 deg, intensity 70, (0 2 2)
41.72 deg, intensity 33, (2 0 2)
42.92 deg, intensity 31, (2 2 -2)